For Sc5TlPd, a structure optimized by DFT (GGA-PBE) gives the calculated powder diffractogram in this record (λ = 1.5418 Å (Cu Kα)).
No peak broadening, texture or thermal motion is included.

Structural model:
```
data_Sc5TlPd
_space_group_name_H-M_alt 'C 1 2/c 1'
_space_group_IT_number 15
_cell_length_a 8.339
_cell_length_b 8.628
_cell_length_c 9.234
_cell_angle_alpha 90.00
_cell_angle_beta 94.24
_cell_angle_gamma 90.00
loop_
_space_group_symop_operation_xyz
'x,y,z'
'-x,-y,-z'
'-x,y,-z+1/2'
'x,-y,z+1/2'
'x+1/2,y+1/2,z'
'-x+1/2,-y+1/2,-z'
'-x+1/2,y+1/2,-z+1/2'
'x+1/2,-y+1/2,z+1/2'
loop_
_atom_site_label
_atom_site_type_symbol
_atom_site_fract_x
_atom_site_fract_y
_atom_site_fract_z
Sc1 Sc 0.000 0.135 0.250
Sc2 Sc 0.160 0.225 0.658
Sc3 Sc 0.189 0.409 0.004
Tl1 Tl 0.000 0.473 0.250
Pd1 Pd 0.000 0.000 0.000
```

The 12 most intense peaks (15° ≤ 2θ ≤ 90°), low angle first:
| 2θ (°) | I_rel | (hkl) |
| --- | --- | --- |
| 20.59 | 64 | 0 2 0 |
| 21.37 | 62 | 2 0 0 |
| 23.74 | 98 | 1 1 -2 |
| 25.02 | 77 | 1 1 2 |
| 29.84 | 80 | 2 2 0 |
| 34.65 | 63 | 1 3 1 |
| 38.07 | 100 | 3 1 -2 |
| 38.88 | 58 | 1 3 2 |
| 39.13 | 31 | 0 0 4 |
| 40.58 | 47 | 3 1 2 |
| 44.62 | 43 | 0 2 4 |
| 48.60 | 48 | 4 2 0 |


For Fe11MoC4, a structure optimized by DFT (GGA-PBE) gives the calculated powder diffractogram in this record (λ = 1.5418 Å (Cu Kα)).
No peak broadening, texture or thermal motion is included.

Structural model:
```
data_Fe11MoC4
_space_group_name_H-M_alt 'P 1'
_space_group_IT_number 1
_cell_length_a 4.526
_cell_length_b 5.041
_cell_length_c 6.858
_cell_angle_alpha 90.45
_cell_angle_beta 90.42
_cell_angle_gamma 90.62
loop_
_space_group_symop_operation_xyz
'x,y,z'
loop_
_atom_site_label
_atom_site_type_symbol
_atom_site_fract_x
_atom_site_fract_y
_atom_site_fract_z
Fe1 Fe 0.000 0.000 0.000
Fe2 Fe 0.004 0.289 0.691
Fe3 Fe 0.158 0.789 0.333
Fe4 Fe 0.169 0.509 0.003
Fe5 Fe 0.175 0.785 0.692
Fe6 Fe 0.494 0.137 0.169
Fe7 Fe 0.500 0.425 0.498
Fe8 Fe 0.506 0.147 0.813
Fe9 Fe 0.650 0.652 0.176
Fe10 Fe 0.666 0.926 0.495
Fe11 Fe 0.672 0.640 0.817
Mo1 Mo 0.997 0.285 0.314
C1 C 0.279 0.085 0.527
C2 C 0.396 0.845 0.982
C3 C 0.770 0.345 0.000
C4 C 0.888 0.598 0.529
```

The 12 most intense peaks (15° ≤ 2θ ≤ 90°), low angle first:
| 2θ (°) | I_rel | (hkl) |
| --- | --- | --- |
| 37.32 | 19 | 1 1 -2 |
| 37.94 | 18 | 0 2 -1 |
| 39.84 | 30 | 2 0 0 |
| 42.97 | 35 | -1 2 1 |
| 43.67 | 35 | 2 -1 0 |
| 44.04 | 32 | 2 1 0 |
| 44.26 | 71 | 1 0 -3 |
| 44.50 | 100 | 1 0 3 |
| 44.80 | 23 | 0 2 2 |
| 45.73 | 27 | 2 -1 1 |
| 48.00 | 29 | 1 -1 3 |
| 49.09 | 30 | -1 2 2 |


For In2Ga4Ag5, a structure optimized by DFT (GGA-PBE) gives the calculated powder diffractogram in this record (λ = 1.5418 Å (Cu Kα)).
No peak broadening, texture or thermal motion is included.

Structural model:
```
data_In2Ga4Ag5
_space_group_name_H-M_alt 'C 1 2/m 1'
_space_group_IT_number 12
_cell_length_a 11.698
_cell_length_b 5.683
_cell_length_c 7.408
_cell_angle_alpha 90.00
_cell_angle_beta 117.54
_cell_angle_gamma 90.00
loop_
_space_group_symop_operation_xyz
'x,y,z'
'-x,-y,-z'
'-x,y,-z'
'x,-y,z'
'x+1/2,y+1/2,z'
'-x+1/2,-y+1/2,-z'
'-x+1/2,y+1/2,-z'
'x+1/2,-y+1/2,z'
loop_
_atom_site_label
_atom_site_type_symbol
_atom_site_fract_x
_atom_site_fract_y
_atom_site_fract_z
In1 In 0.158 0.000 0.279
Ga1 Ga 0.082 0.500 0.424
Ga2 Ga 0.242 0.500 0.245
Ag1 Ag 0.000 0.000 0.500
Ag2 Ag 0.102 0.250 0.896
```

The 12 most intense peaks (15° ≤ 2θ ≤ 90°), low angle first:
| 2θ (°) | I_rel | (hkl) |
| --- | --- | --- |
| 30.66 | 62 | 4 0 -1 |
| 31.75 | 54 | 3 1 -2 |
| 34.38 | 100 | 0 2 1 |
| 36.42 | 48 | 2 0 -3 |
| 38.64 | 92 | 2 0 2 |
| 40.27 | 56 | 2 2 -2 |
| 40.44 | 48 | 3 1 -3 |
| 41.51 | 95 | 2 2 1 |
| 42.26 | 55 | 5 1 -1 |
| 65.69 | 41 | 0 4 0 |
| 76.44 | 20 | 4 2 3 |
| 78.92 | 23 | 2 4 2 |


For AlTlCd, a structure optimized by DFT (GGA-PBE) gives the calculated powder diffractogram in this record (λ = 1.5418 Å (Cu Kα)).
No peak broadening, texture or thermal motion is included.

Structural model:
```
data_AlTlCd
_space_group_name_H-M_alt 'P 1'
_space_group_IT_number 1
_cell_length_a 5.521
_cell_length_b 5.792
_cell_length_c 5.811
_cell_angle_alpha 75.25
_cell_angle_beta 62.41
_cell_angle_gamma 62.56
loop_
_space_group_symop_operation_xyz
'x,y,z'
loop_
_atom_site_label
_atom_site_type_symbol
_atom_site_fract_x
_atom_site_fract_y
_atom_site_fract_z
Al1 Al 0.000 0.000 0.000
Al2 Al 0.500 0.002 0.998
Tl1 Tl 0.106 0.526 0.760
Tl2 Tl 0.894 0.240 0.474
Cd1 Cd 0.433 0.502 0.137
Cd2 Cd 0.566 0.864 0.498
```

The 12 most intense peaks (15° ≤ 2θ ≤ 90°), low angle first:
| 2θ (°) | I_rel | (hkl) |
| --- | --- | --- |
| 17.26 | 54 | 0 0 1 |
| 31.30 | 85 | 1 -1 0 |
| 31.85 | 83 | 1 2 1 |
| 32.21 | 89 | 1 1 -1 |
| 32.43 | 100 | 2 1 1 |
| 32.53 | 42 | 1 2 0 |
| 36.74 | 20 | 2 1 0 |
| 37.21 | 21 | 2 2 1 |
| 38.34 | 38 | 0 1 2 |
| 40.06 | 33 | 0 1 -2 |
| 51.62 | 20 | 0 2 -2 |
| 63.51 | 19 | 2 -2 1 |